For SrFe3P3O13, a GGA+U-relaxed structure gives the calculated powder X-ray diffraction pattern in this record (Cu Kα (λ = 1.5418 Å)).
No peak broadening, texture or thermal motion is included.

Main lines, sorted by position (15° ≤ 2θ ≤ 90°):
| 2theta | intensity |
| --- | --- |
| 19.1 | 82 |
| 22.4 | 70 |
| 23.4 | 67 |
| 23.5 | 42 |
| 27.7 | 100 |
| 29.5 | 59 |
| 30.1 | 47 |
| 30.3 | 44 |
| 35.0 | 61 |
| 38.3 | 46 |

Cell lengths 7.716, 6.438, 10.455 Å; angles 90.00, 99.55, 90.00 degrees
Element x y z (fractional)
Sr 0.164 0.250 0.200
Sr 0.836 0.750 0.800
Fe 0.150 0.250 0.802
Fe 0.288 0.750 0.441
Fe 0.500 0.000 0.000
Fe 0.500 0.500 0.000
Fe 0.712 0.250 0.559
Fe 0.850 0.750 0.198
P 0.188 0.750 0.117
P 0.245 0.750 0.763
P 0.286 0.250 0.519
P 0.714 0.750 0.481
P 0.755 0.250 0.237
P 0.812 0.250 0.883
O 0.003 0.250 0.958
O 0.131 0.561 0.788
O 0.131 0.939 0.788
O 0.150 0.750 0.260
O 0.158 0.250 0.615
O 0.253 0.060 0.425
O 0.253 0.440 0.425
O 0.292 0.553 0.093
O 0.292 0.947 0.093
O 0.296 0.750 0.628
O 0.377 0.250 0.911
O 0.419 0.750 0.867
O 0.478 0.250 0.592
O 0.522 0.750 0.408
O 0.581 0.250 0.133
O 0.623 0.750 0.089
O 0.704 0.250 0.372
O 0.708 0.053 0.907
O 0.708 0.447 0.907
O 0.747 0.560 0.575
O 0.747 0.940 0.575
O 0.842 0.750 0.385
O 0.850 0.250 0.740
O 0.869 0.061 0.212
O 0.869 0.439 0.212
O 0.997 0.750 0.042